(1)
# Pa2SbTe2N2
Calculated powder X-ray diffraction pattern, CuKα. Input: a GGA-PBE-relaxed structure.
Kinematic intensities with the Lorentz-polarization factor, no thermal factor.

Atomic structure:
Cell lengths 3.795, 3.795, 14.427 Å; angles 90.00, 90.00, 120.00 degrees
Atoms (fractional coordinates):
Pa 0.333 0.667 0.303
Pa 0.667 0.333 0.697
Sb 0.000 0.000 0.500
Te 0.000 0.000 0.141
Te 0.000 0.000 0.859
N 0.333 0.667 0.682
N 0.667 0.333 0.318

Main lines, most intense first (5 to 70 degrees two-theta):
2θ = 33.01°, I = 100; 2θ = 27.84°, I = 61; 2θ = 12.27°, I = 46; 2θ = 29.87°, I = 44; 2θ = 47.94°, I = 37; 2θ = 37.00°, I = 33

(2)
# ThPaSbN2
Calculated powder X-ray diffraction pattern, CuKα. Input: a GGA-PBE-relaxed structure.
Kinematic intensities with the Lorentz-polarization factor, no thermal factor.

Atomic structure:
Cell lengths 6.960, 6.960, 6.960 Å; angles 146.60, 146.60, 47.95 degrees
Atoms (fractional coordinates):
Th 0.000 0.000 0.000
Pa 0.316 0.316 0.000
Sb 0.661 0.661 0.000
N 0.398 0.898 0.500
N 0.898 0.398 0.500

Main lines, most intense first (5 to 70 degrees two-theta):
2θ = 30.73°, I = 100; 2θ = 31.63°, I = 43; 2θ = 55.78°, I = 38; 2θ = 54.06°, I = 21; 2θ = 45.35°, I = 19; 2θ = 64.00°, I = 11

(3)
# UPaSb2N
Calculated powder X-ray diffraction pattern, CuKα. Input: a GGA-PBE-relaxed structure.
Kinematic intensities with the Lorentz-polarization factor, no thermal factor.

Atomic structure:
Cell lengths 3.991, 3.991, 14.145 Å; angles 90.00, 90.00, 90.00 degrees
Atoms (fractional coordinates):
U 0.250 0.250 0.078
U 0.750 0.750 0.922
Pa 0.250 0.250 0.574
Pa 0.750 0.750 0.426
Sb 0.250 0.250 0.340
Sb 0.250 0.250 0.805
Sb 0.750 0.750 0.195
Sb 0.750 0.750 0.660
N 0.250 0.750 0.000
N 0.750 0.250 0.000

Main lines, most intense first (5 to 70 degrees two-theta):
2θ = 33.87°, I = 100; 2θ = 31.71°, I = 68; 2θ = 57.87°, I = 44; 2θ = 45.45°, I = 28; 2θ = 25.63°, I = 16; 2θ = 61.93°, I = 11

(4)
# Pa4Se5N
Calculated powder X-ray diffraction pattern, CuKα. Input: a GGA-PBE-relaxed structure.
Kinematic intensities with the Lorentz-polarization factor, no thermal factor.

Atomic structure:
Cell lengths 8.762, 8.762, 7.809 Å; angles 103.25, 103.25, 25.20 degrees
Atoms (fractional coordinates):
Pa 0.004 0.004 0.282
Pa 0.349 0.349 0.423
Pa 0.651 0.651 0.577
Pa 0.996 0.996 0.718
Se 0.165 0.165 0.846
Se 0.175 0.175 0.318
Se 0.500 0.500 0.000
Se 0.825 0.825 0.682
Se 0.835 0.835 0.154
N 0.500 0.500 0.500

Main lines, most intense first (5 to 70 degrees two-theta):
2θ = 32.79°, I = 100; 2θ = 32.28°, I = 73; 2θ = 11.66°, I = 53; 2θ = 46.56°, I = 49; 2θ = 46.82°, I = 32; 2θ = 10.64°, I = 22

(5)
# Pa4Se6N
Calculated powder X-ray diffraction pattern, CuKα. Input: a GGA-PBE-relaxed structure.
Kinematic intensities with the Lorentz-polarization factor, no thermal factor.

Atomic structure:
Cell lengths 9.229, 9.229, 7.085 Å; angles 90.00, 90.00, 120.00 degrees
Atoms (fractional coordinates):
Pa 0.198 0.396 0.000
Pa 0.198 0.802 0.000
Pa 0.333 0.667 0.576
Pa 0.396 0.198 0.500
Pa 0.604 0.802 0.000
Pa 0.667 0.333 0.076
Pa 0.802 0.198 0.500
Pa 0.802 0.604 0.500
Se 0.060 0.530 0.293
Se 0.135 0.269 0.617
Se 0.135 0.865 0.617
Se 0.269 0.135 0.117
Se 0.470 0.530 0.293
Se 0.470 0.940 0.293
Se 0.530 0.060 0.793
Se 0.530 0.470 0.793
Se 0.731 0.865 0.617
Se 0.865 0.135 0.117
Se 0.865 0.731 0.117
Se 0.940 0.470 0.793
N 0.333 0.667 0.911
N 0.667 0.333 0.411

Main lines, most intense first (5 to 70 degrees two-theta):
2θ = 25.59°, I = 100; 2θ = 33.81°, I = 71; 2θ = 36.02°, I = 60; 2θ = 39.04°, I = 52; 2θ = 32.21°, I = 48; 2θ = 44.56°, I = 33

(6)
# Pa2TeSe2N2
Calculated powder X-ray diffraction pattern, CuKα. Input: a GGA-PBE-relaxed structure.
Kinematic intensities with the Lorentz-polarization factor, no thermal factor.

Atomic structure:
Cell lengths 3.820, 3.820, 13.197 Å; angles 90.00, 90.00, 120.00 degrees
Atoms (fractional coordinates):
Pa 0.333 0.667 0.285
Pa 0.667 0.333 0.715
Te 0.000 0.000 0.500
Se 0.000 0.000 0.145
Se 0.000 0.000 0.855
N 0.333 0.667 0.686
N 0.667 0.333 0.314

Main lines, most intense first (5 to 70 degrees two-theta):
2θ = 33.91°, I = 100; 2θ = 27.80°, I = 66; 2θ = 13.42°, I = 55; 2θ = 30.22°, I = 46; 2θ = 6.70°, I = 37; 2θ = 59.74°, I = 37